Simulated X-ray diffraction stick pattern
Compound: Li2Mn3F8
Radiation: Cu Kα X-rays
Structure: DFT lattice parameters and positions (PBE+U)
Intensities are scaled so that the largest is 100.

Main lines, low angle first (2θ = 10–80°):
2θ = 21.85°, I 100
2θ = 23.53°, I 40
2θ = 23.81°, I 73
2θ = 28.60°, I 37
2θ = 30.60°, I 34
2θ = 31.27°, I 42
2θ = 34.78°, I 29
2θ = 37.59°, I 30
2θ = 41.14°, I 39
2θ = 51.14°, I 29

Crystal structure
```
Li2Mn3F8
1.0
5.955 0.000 0.000
0.000 12.360 0.000
-2.217 0.000 4.781
Li Mn F
4 6 16
Direct
0.201 0.116 0.133
0.201 0.384 0.633
0.799 0.616 0.367
0.799 0.884 0.867
0.000 0.000 0.500
0.000 0.500 0.000
0.397 0.654 0.681
0.397 0.846 0.181
0.603 0.154 0.819
0.603 0.346 0.319
0.090 0.648 0.288
0.090 0.852 0.788
0.222 0.526 0.784
0.222 0.974 0.284
0.280 0.088 0.823
0.280 0.412 0.323
0.476 0.196 0.393
0.476 0.304 0.893
0.524 0.696 0.107
0.524 0.804 0.607
0.720 0.588 0.677
0.720 0.912 0.177
0.778 0.026 0.716
0.778 0.474 0.216
0.910 0.148 0.212
0.910 0.352 0.712
```

Simulated X-ray diffraction stick pattern
Compound: Ti2VP3O12
Radiation: Cu Kα X-rays
Structure: DFT lattice parameters and positions (PBE+U)
Intensities are scaled so that the largest is 100.

Main lines, low angle first (2θ = 10–80°):
2θ = 20.41°, I 55
2θ = 24.12°, I 100
2θ = 25.13°, I 15
2θ = 31.70°, I 16
2θ = 32.96°, I 54
2θ = 35.74°, I 27
2θ = 47.23°, I 25
2θ = 49.40°, I 20
2θ = 55.91°, I 18
2θ = 62.46°, I 13

Crystal structure
```
Ti2VP3O12
1.0
4.351 2.512 6.961
-4.351 2.512 6.961
0.000 -5.024 6.961
Ti V P O
4 2 6 24
Direct
0.144 0.144 0.144
0.356 0.356 0.356
0.644 0.644 0.644
0.856 0.856 0.856
0.000 0.000 0.000
0.500 0.500 0.500
0.043 0.750 0.457
0.250 0.543 0.957
0.457 0.043 0.750
0.543 0.957 0.250
0.750 0.457 0.043
0.957 0.250 0.543
0.001 0.183 0.385
0.057 0.910 0.263
0.090 0.737 0.943
0.115 0.317 0.499
0.183 0.385 0.001
0.237 0.590 0.443
0.263 0.057 0.910
0.317 0.499 0.115
0.385 0.001 0.183
0.410 0.557 0.763
0.443 0.237 0.590
0.499 0.115 0.317
0.501 0.885 0.683
0.557 0.763 0.410
0.590 0.443 0.237
0.615 0.999 0.817
0.683 0.501 0.885
0.737 0.943 0.090
0.763 0.410 0.557
0.817 0.615 0.999
0.885 0.683 0.501
0.910 0.263 0.057
0.943 0.090 0.737
0.999 0.817 0.615
```